[1]
Computed PXRD pattern
Compound: RbZrAgTeSeS
Radiation: Cu Ka
Structure: a structure optimized by DFT (GGA-PBE)
No peak broadening, texture or thermal motion is included.

Peak list (10 most intense, 2θ from 5° to 70°, by angle)
2theta  I_rel
10.87  52
11.33  100
24.71  48
26.14  38
29.96  97
31.11  74
34.35  65
38.01  50
42.48  52
44.64  48

Structure:
```
data_RbZrAgTeSeS
_chemical_formula_sum 'Rb2 Zr2 Ag2 Te2 Se2 S2'
_symmetry_space_group_name_H-M 'P 1'
_symmetry_Int_Tables_number 1
_symmetry_space_group_name_Hall 'P 1'
_cell_length_a 8.803
_cell_length_b 4.060
_cell_length_c 10.227
_cell_angle_alpha 90.00
_cell_angle_beta 112.36
_cell_angle_gamma 90.00
loop_
_atom_site_label
_atom_site_type_symbol
_atom_site_fract_x
_atom_site_fract_y
_atom_site_fract_z
_atom_site_occupancy
Rb1 Rb 0.219 0.250 0.210 1
Rb2 Rb 0.781 0.750 0.790 1
Zr1 Zr 0.175 0.750 0.652 1
Zr2 Zr 0.825 0.250 0.348 1
Ag1 Ag 0.421 0.250 0.893 1
Ag2 Ag 0.579 0.750 0.107 1
Te1 Te 0.404 0.250 0.619 1
Te2 Te 0.596 0.750 0.381 1
Se1 Se 0.236 0.750 0.929 1
Se2 Se 0.764 0.250 0.071 1
S1 S 0.023 0.750 0.372 1
S2 S 0.977 0.250 0.628 1
```

=====

[2]
Computed PXRD pattern
Compound: RbZrAgSe2S
Radiation: Cu Ka
Structure: a structure optimized by DFT (GGA-PBE)
No peak broadening, texture or thermal motion is included.

Peak list (10 most intense, 2θ from 5° to 70°, by angle)
2theta  I_rel
11.06  25
11.58  100
25.30  24
30.66  57
31.76  54
34.45  32
34.96  39
35.59  27
43.29  35
45.74  32

Structure:
```
data_RbZrAgSe2S
_chemical_formula_sum 'Rb2 Zr2 Ag2 Se4 S2'
_symmetry_space_group_name_H-M 'P 1'
_symmetry_Int_Tables_number 1
_symmetry_space_group_name_Hall 'P 1'
_cell_length_a 8.613
_cell_length_b 3.968
_cell_length_c 10.097
_cell_angle_alpha 90.00
_cell_angle_beta 111.73
_cell_angle_gamma 90.00
loop_
_atom_site_label
_atom_site_type_symbol
_atom_site_fract_x
_atom_site_fract_y
_atom_site_fract_z
_atom_site_occupancy
Rb1 Rb 0.246 0.250 0.228 1
Rb2 Rb 0.754 0.750 0.772 1
Zr1 Zr 0.181 0.750 0.652 1
Zr2 Zr 0.819 0.250 0.348 1
Ag1 Ag 0.425 0.250 0.892 1
Ag2 Ag 0.575 0.750 0.108 1
Se1 Se 0.232 0.750 0.930 1
Se2 Se 0.389 0.250 0.624 1
Se3 Se 0.611 0.750 0.376 1
Se4 Se 0.768 0.250 0.070 1
S1 S 0.030 0.750 0.373 1
S2 S 0.970 0.250 0.627 1
```

=====

[3]
Computed PXRD pattern
Compound: Rb2ZrAg2Se2S2
Radiation: Cu Ka
Structure: a structure optimized by DFT (GGA-PBE)
No peak broadening, texture or thermal motion is included.

Peak list (10 most intense, 2θ from 5° to 70°, by angle)
2theta  I_rel
12.70  38
21.18  22
27.93  100
31.41  22
31.53  70
38.84  23
41.04  54
48.94  31
50.41  26
68.86  23

Structure:
```
data_Rb2ZrAg2Se2S2
_chemical_formula_sum 'Rb2 Zr1 Ag2 Se2 S2'
_symmetry_space_group_name_H-M 'P 1'
_symmetry_Int_Tables_number 1
_symmetry_space_group_name_Hall 'P 1'
_cell_length_a 6.229
_cell_length_b 6.213
_cell_length_c 7.622
_cell_angle_alpha 90.00
_cell_angle_beta 113.85
_cell_angle_gamma 90.00
loop_
_atom_site_label
_atom_site_type_symbol
_atom_site_fract_x
_atom_site_fract_y
_atom_site_fract_z
_atom_site_occupancy
Rb1 Rb 0.000 0.000 0.000 1
Rb2 Rb 0.500 0.479 0.000 1
Zr1 Zr 0.500 0.742 0.500 1
Ag1 Ag 0.000 0.751 0.500 1
Ag2 Ag 0.500 0.237 0.500 1
Se1 Se 0.156 0.507 0.279 1
Se2 Se 0.844 0.507 0.721 1
S1 S 0.378 0.965 0.707 1
S2 S 0.622 0.965 0.293 1
```

=====

[4]
Computed PXRD pattern
Compound: RbZrAgSe2S
Radiation: Cu Ka
Structure: a structure optimized by DFT (GGA-PBE)
No peak broadening, texture or thermal motion is included.

Peak list (10 most intense, 2θ from 5° to 70°, by angle)
2theta  I_rel
11.47  100
28.74  34
30.51  43
31.59  41
34.01  25
34.67  23
35.34  30
38.58  19
42.88  22
45.64  22

Structure:
```
data_RbZrAgSe2S
_chemical_formula_sum 'Rb2 Zr2 Ag2 Se4 S2'
_symmetry_space_group_name_H-M 'P 1'
_symmetry_Int_Tables_number 1
_symmetry_space_group_name_Hall 'P 1'
_cell_length_a 8.684
_cell_length_b 3.975
_cell_length_c 10.226
_cell_angle_alpha 90.00
_cell_angle_beta 111.67
_cell_angle_gamma 90.00
loop_
_atom_site_label
_atom_site_type_symbol
_atom_site_fract_x
_atom_site_fract_y
_atom_site_fract_z
_atom_site_occupancy
Rb1 Rb 0.237 0.250 0.271 1
Rb2 Rb 0.763 0.750 0.729 1
Zr1 Zr 0.306 0.750 0.841 1
Zr2 Zr 0.694 0.250 0.159 1
Ag1 Ag 0.073 0.250 0.606 1
Ag2 Ag 0.927 0.750 0.394 1
Se1 Se 0.264 0.750 0.568 1
Se2 Se 0.459 0.750 0.131 1
Se3 Se 0.541 0.250 0.869 1
Se4 Se 0.736 0.250 0.432 1
S1 S 0.122 0.250 0.864 1
S2 S 0.878 0.750 0.136 1
```

=====

[5]
Computed PXRD pattern
Compound: Rb2ZrAg2Se2S2
Radiation: Cu Ka
Structure: a structure optimized by DFT (GGA-PBE)
No peak broadening, texture or thermal motion is included.

Peak list (10 most intense, 2θ from 5° to 70°, by angle)
2theta  I_rel
12.72  56
15.55  32
21.14  32
27.83  75
28.00  72
31.40  100
31.59  37
38.72  34
40.94  80
48.92  36

Structure:
```
data_Rb2ZrAg2Se2S2
_chemical_formula_sum 'Rb2 Zr1 Ag2 Se2 S2'
_symmetry_space_group_name_H-M 'P 1'
_symmetry_Int_Tables_number 1
_symmetry_space_group_name_Hall 'P 1'
_cell_length_a 7.627
_cell_length_b 7.627
_cell_length_c 6.225
_cell_angle_alpha 90.44
_cell_angle_beta 90.44
_cell_angle_gamma 48.33
loop_
_atom_site_label
_atom_site_type_symbol
_atom_site_fract_x
_atom_site_fract_y
_atom_site_fract_z
_atom_site_occupancy
Rb1 Rb 0.250 0.250 0.239 1
Rb2 Rb 0.750 0.750 0.761 1
Zr1 Zr 0.751 0.249 0.500 1
Ag1 Ag 0.248 0.752 0.500 1
Ag2 Ag 0.760 0.240 0.000 1
Se1 Se 0.405 0.373 0.730 1
Se2 Se 0.627 0.595 0.270 1
S1 S 0.076 0.129 0.725 1
S2 S 0.871 0.924 0.275 1
```

=====

[6]
Computed PXRD pattern
Compound: Rb2TaAg2S4
Radiation: Cu Ka
Structure: a structure optimized by DFT (GGA-PBE)
No peak broadening, texture or thermal motion is included.

Peak list (10 most intense, 2θ from 5° to 70°, by angle)
2theta  I_rel
7.87  21
13.49  100
15.78  20
25.97  47
27.60  40
28.07  63
29.83  45
30.75  36
38.30  32
48.89  20

Structure:
```
data_Rb2TaAg2S4
_chemical_formula_sum 'Rb4 Ta2 Ag4 S8'
_symmetry_space_group_name_H-M 'P 1'
_symmetry_Int_Tables_number 1
_symmetry_space_group_name_Hall 'P 1'
_cell_length_a 11.913
_cell_length_b 11.913
_cell_length_c 6.922
_cell_angle_alpha 99.60
_cell_angle_beta 99.60
_cell_angle_gamma 141.12
loop_
_atom_site_label
_atom_site_type_symbol
_atom_site_fract_x
_atom_site_fract_y
_atom_site_fract_z
_atom_site_occupancy
Rb1 Rb 0.064 0.936 0.750 1
Rb2 Rb 0.193 0.807 0.250 1
Rb3 Rb 0.807 0.193 0.750 1
Rb4 Rb 0.936 0.064 0.250 1
Ta1 Ta 0.381 0.619 0.250 1
Ta2 Ta 0.619 0.381 0.750 1
Ag1 Ag 0.347 0.653 0.750 1
Ag2 Ag 0.477 0.523 0.750 1
Ag3 Ag 0.523 0.477 0.250 1
Ag4 Ag 0.653 0.347 0.250 1
S1 S 0.140 0.497 0.347 1
S2 S 0.234 0.359 0.936 1
S3 S 0.359 0.234 0.436 1
S4 S 0.497 0.140 0.847 1
S5 S 0.503 0.860 0.153 1
S6 S 0.641 0.766 0.564 1
S7 S 0.766 0.641 0.064 1
S8 S 0.860 0.503 0.653 1
```

=====

[7]
Computed PXRD pattern
Compound: Rb2TbAg2S4
Radiation: Cu Ka
Structure: a structure optimized by DFT (GGA-PBE)
No peak broadening, texture or thermal motion is included.

Peak list (10 most intense, 2θ from 5° to 70°, by angle)
2theta  I_rel
13.46  43
15.67  26
19.54  22
27.12  27
28.62  45
31.60  100
39.71  22
40.67  42
50.77  20
50.84  20

Structure:
```
data_Rb2TbAg2S4
_chemical_formula_sum 'Rb2 Tb1 Ag2 S4'
_symmetry_space_group_name_H-M 'P 1'
_symmetry_Int_Tables_number 1
_symmetry_space_group_name_Hall 'P 1'
_cell_length_a 7.284
_cell_length_b 7.284
_cell_length_c 6.286
_cell_angle_alpha 90.00
_cell_angle_beta 90.00
_cell_angle_gamma 129.07
loop_
_atom_site_label
_atom_site_type_symbol
_atom_site_fract_x
_atom_site_fract_y
_atom_site_fract_z
_atom_site_occupancy
Rb1 Rb 0.000 0.500 0.220 1
Rb2 Rb 0.500 0.000 0.780 1
Tb1 Tb 0.000 0.000 0.500 1
Ag1 Ag 0.000 0.000 0.000 1
Ag2 Ag 0.500 0.500 0.500 1
S1 S 0.142 0.351 0.748 1
S2 S 0.351 0.142 0.252 1
S3 S 0.649 0.858 0.252 1
S4 S 0.858 0.649 0.748 1
```

=====

[8]
Computed PXRD pattern
Compound: Rb2Ag3Se4
Radiation: Cu Ka
Structure: a structure optimized by DFT (GGA-PBE)
No peak broadening, texture or thermal motion is included.

Peak list (10 most intense, 2θ from 5° to 70°, by angle)
2theta  I_rel
12.52  100
16.94  41
27.47  55
31.61  55
33.02  90
33.83  48
35.32  88
40.59  64
50.16  40
56.29  47

Structure:
```
data_Rb2Ag3Se4
_chemical_formula_sum 'Rb4 Ag6 Se8'
_symmetry_space_group_name_H-M 'P 1'
_symmetry_Int_Tables_number 1
_symmetry_space_group_name_Hall 'P 1'
_cell_length_a 15.225
_cell_length_b 14.528
_cell_length_c 6.538
_cell_angle_alpha 83.35
_cell_angle_beta 71.40
_cell_angle_gamma 25.25
loop_
_atom_site_label
_atom_site_type_symbol
_atom_site_fract_x
_atom_site_fract_y
_atom_site_fract_z
_atom_site_occupancy
Rb1 Rb 0.046 0.046 0.204 1
Rb2 Rb 0.204 0.204 0.046 1
Rb3 Rb 0.796 0.796 0.954 1
Rb4 Rb 0.954 0.954 0.796 1
Ag1 Ag 0.125 0.125 0.625 1
Ag2 Ag 0.375 0.375 0.375 1
Ag3 Ag 0.375 0.375 0.875 1
Ag4 Ag 0.625 0.625 0.125 1
Ag5 Ag 0.625 0.625 0.625 1
Ag6 Ag 0.875 0.875 0.375 1
Se1 Se 0.131 0.489 0.259 1
Se2 Se 0.259 0.621 0.131 1
Se3 Se 0.379 0.741 0.511 1
Se4 Se 0.489 0.131 0.621 1
Se5 Se 0.511 0.869 0.379 1
Se6 Se 0.621 0.259 0.489 1
Se7 Se 0.741 0.379 0.869 1
Se8 Se 0.869 0.511 0.741 1
```

=====

Q: Which formula does entry 2 have?
A: RbZrAgSe2S